# NaLi2MnPCO7
Theoretical powder diffraction line list, Cu Kα, 1.54184 Å. Input: a crystal structure in the Materials Project, relaxed with PBE+U.
Lines closer than 0.1° are merged.

Cell and atoms:
Cell lengths 6.6995, 8.6866, 10.0988 Å; angles 88.48, 90.00, 89.33 degrees
Space group P1 (No. 1)
Symmetry-distinct sites (fractional):
Na 0.0000 0.0000 0.0000
Na 0.0012 0.0018 0.4966
Na 0.4982 0.5002 0.7475
Na 0.7421 0.8350 0.7499
Li 0.0223 0.4869 0.2570
Li 0.0234 0.4787 0.7603
Li 0.2494 0.6602 0.4972
Li 0.2559 0.6631 0.0029
Li 0.4775 0.4864 0.2538
Li 0.5248 0.0226 0.4842
Li 0.5255 0.0223 0.9881
Li 0.7337 0.8286 0.2455
Mn 0.2535 0.1045 0.2589
Mn 0.2560 0.1103 0.7616
Mn 0.7495 0.3984 0.4799
Mn 0.7527 0.3958 0.9890
P 0.2486 0.3444 0.5147
P 0.2537 0.3448 0.0225
P 0.7444 0.1571 0.2247
P 0.7524 0.1651 0.7265
C 0.2406 0.7950 0.7373
C 0.2499 0.7893 0.2392
C 0.7380 0.7066 0.5012
C 0.7395 0.6983 0.0160
O 0.0647 0.4340 0.4572
O 0.0689 0.4360 0.9686
O 0.2155 0.6534 0.7031
O 0.2327 0.3325 0.6692
O 0.2455 0.3325 0.1777
O 0.2452 0.8328 0.3612
O 0.2465 0.8327 0.8609
O 0.2499 0.6443 0.2102
O 0.2556 0.8917 0.1425
O 0.2620 0.9008 0.6442
O 0.2644 0.1775 0.9706
O 0.2668 0.1772 0.4641
O 0.4293 0.4465 0.4732
O 0.4344 0.4444 0.9798
O 0.5692 0.0590 0.2815
O 0.5714 0.0770 0.7871
O 0.7212 0.8531 0.5216
O 0.7219 0.8460 0.0338
O 0.7267 0.1692 0.0704
O 0.7285 0.1756 0.5723
O 0.7423 0.6423 0.8983
O 0.7431 0.3247 0.2756
O 0.7456 0.6558 0.3818
O 0.7484 0.6096 0.6020
O 0.7551 0.6055 0.1186
O 0.7692 0.3309 0.7782
O 0.9363 0.0642 0.2631
O 0.9397 0.0653 0.7632

Principal peaks in the range 10 to 90 degrees two-theta, most intense first:
index	2θ (°)	intensity
2 0 0	26.6	100
0 1 0	10.2	97
0 0 4	35.6	39
0 2 2	26.7	33
0 1 2	20.1	31
0 1 -2	20.6	30
2 2 0	33.6	25
4 0 0	54.8	24
2 -2 0	34.0	20
0 4 0	41.6	20



# NaLi5Mn2P2C2O14
Theoretical powder diffraction line list, Cu Kα, 1.54184 Å. Input: a crystal structure in the Materials Project, relaxed with PBE+U.
Lines closer than 0.1° are merged.

Cell and atoms:
Cell lengths 6.7017, 8.6386, 10.0090 Å; angles 87.41, 89.84, 89.12 degrees
Space group P-1 (No. 2)
Symmetry-distinct sites (fractional):
Na 0.0015 0.2476 0.3759
Li 0.0335 0.7332 0.1348
Li 0.2585 0.9148 0.8807
Li 0.2786 0.9087 0.3755
Li 0.4663 0.7316 0.1333
Li 0.4724 0.7268 0.6362
Mn 0.2513 0.3536 0.6433
Mn 0.2569 0.3493 0.1320
P 0.2477 0.5934 0.8977
P 0.2592 0.5904 0.3898
C 0.2507 0.0361 0.1134
C 0.2630 0.0417 0.6121
O 0.0584 0.6861 0.8530
O 0.0663 0.6803 0.3442
O 0.2453 0.8909 0.0834
O 0.2483 0.0761 0.2366
O 0.2511 0.4238 0.8503
O 0.2539 0.0751 0.7364
O 0.2538 0.1528 0.5192
O 0.2577 0.5824 0.0543
O 0.2598 0.1409 0.0161
O 0.2697 0.4238 0.3386
O 0.2706 0.5776 0.5459
O 0.2814 0.8996 0.5753
O 0.4250 0.6917 0.8421
O 0.4315 0.6944 0.3339

Principal peaks in the range 10 to 90 degrees two-theta, most intense first:
index	2θ (°)	intensity
2 0 0	26.6	100
0 1 0	10.3	76
0 1 -2	20.9	24
0 1 2	20.1	23
0 0 4	35.9	22
0 1 4	37.0	16
4 0 0	54.8	15
1 3 -2	39.1	15
0 3 0	31.1	15
0 2 -2	27.9	14